KHfTePdSe2: theoretical X-ray diffraction stick pattern (copper Kα), based on a crystal structure in OQMD, relaxed with PBE.
Lines closer than 0.1° are merged.

Main lines, by angle (15° ≤ 2θ ≤ 90°):
2θ (°), I_rel, (hkl)
28.0, 52, 0 0 3
30.5, 100, 2 1 -1
31.6, 81, 2 1 0
34.5, 38, 1 1 -3
34.9, 30, 1 0 -4
35.3, 37, 2 1 1
38.5, 33, 3 1 -1
42.6, 70, 2 1 -4
45.9, 44, 0 2 0
52.4, 34, 3 1 -5

Atomic structure:
```
data_KHfTePdSe2
_cell_length_a 8.757
_cell_length_b 3.954
_cell_length_c 10.333
_cell_angle_alpha 90.00
_cell_angle_beta 112.11
_cell_angle_gamma 90.00
_symmetry_space_group_name_H-M 'P 1 21/m 1'
_symmetry_Int_Tables_number 11
loop_
_symmetry_equiv_pos_as_xyz
'x,y,z'
'-x,-y,-z'
'-x,y+1/2,-z'
'x,-y+1/2,z'
loop_
_atom_site_label
_atom_site_type_symbol
_atom_site_fract_x
_atom_site_fract_y
_atom_site_fract_z
K1 K 0.229 0.250 0.285
Hf1 Hf 0.287 0.750 0.818
Te1 Te 0.443 0.750 0.134
Pd1 Pd 0.092 0.250 0.595
Se1 Se 0.102 0.250 0.851
Se2 Se 0.250 0.750 0.555
```

---

LiZnAsO4: theoretical X-ray diffraction stick pattern (copper Kα), based on a crystal structure in OQMD, relaxed with PBE.
Lines closer than 0.1° are merged.

Main lines, by angle (15° ≤ 2θ ≤ 90°):
2θ (°), I_rel, (hkl)
20.3, 33, 0 1 2
21.5, 97, 2 1 1
21.9, 27, 3 0 0
25.4, 71, 2 2 0
31.3, 91, 1 1 3
33.8, 100, 1 4 0
38.5, 49, 2 2 3
48.6, 46, 3 3 3
65.1, 54, 8 -7 3
69.7, 29, 1 4 6

Atomic structure:
```
data_LiZnAsO4
_cell_length_a 14.0363
_cell_length_b 14.0363
_cell_length_c 9.4018
_cell_angle_alpha 90.00
_cell_angle_beta 90.00
_cell_angle_gamma 120.00
_symmetry_space_group_name_H-M 'R 3'
_symmetry_Int_Tables_number 146
_symmetry_space_group_name_Hall 'R 3'
loop_
_atom_site_label
_atom_site_type_symbol
_atom_site_fract_x
_atom_site_fract_y
_atom_site_fract_z
Li1 Li 0.0230 0.2135 0.0000
Li2 Li 0.1447 0.6867 0.1652
Zn1 Zn 0.0221 0.2110 0.6678
Zn2 Zn 0.1423 0.6900 0.8334
As1 As 0.0182 0.2139 0.3320
As2 As 0.1367 0.6848 0.4990
O1 O 0.0008 0.3262 0.3291
O2 O 0.0095 0.6734 0.4995
O3 O 0.0853 0.2107 0.1814
O4 O 0.0859 0.2115 0.4826
O5 O 0.1052 0.2193 0.8364
O6 O 0.2058 0.1258 0.6804
O7 O 0.2101 0.1233 0.9811
O8 O 0.2117 0.1109 0.3358
```

---

FeI4: theoretical X-ray diffraction stick pattern (copper Kα), based on a crystal structure in OQMD, relaxed with PBE.
Lines closer than 0.1° are merged.

Main lines, by angle (15° ≤ 2θ ≤ 90°):
2θ (°), I_rel, (hkl)
23.0, 13, 0 0 4
24.1, 45, 0 4 0
26.0, 70, 0 2 4
31.6, 100, 2 2 2
33.6, 22, 0 4 4
38.2, 23, 2 4 2
43.6, 14, 0 6 4
44.4, 27, 2 0 6
47.4, 24, 2 6 2
51.1, 22, 2 4 6

Atomic structure:
```
data_FeI4
_cell_length_a 6.673
_cell_length_b 14.754
_cell_length_c 15.481
_cell_angle_alpha 90.00
_cell_angle_beta 90.00
_cell_angle_gamma 90.00
_symmetry_space_group_name_H-M 'C m c 21'
_symmetry_Int_Tables_number 36
loop_
_symmetry_equiv_pos_as_xyz
'x,y,z'
'-x,-y,z+1/2'
'-x,y,z'
'x,-y,z+1/2'
'x+1/2,y+1/2,z'
'-x+1/2,-y+1/2,z+1/2'
'-x+1/2,y+1/2,z'
'x+1/2,-y+1/2,z+1/2'
loop_
_atom_site_label
_atom_site_type_symbol
_atom_site_fract_x
_atom_site_fract_y
_atom_site_fract_z
Fe1 Fe 0.206 0.124 0.000
I1 I 0.000 0.005 0.582
I2 I 0.000 0.252 0.918
I3 I 0.000 0.268 0.430
I4 I 0.000 0.485 0.570
I5 I 0.246 0.015 0.846
I6 I 0.246 0.233 0.154
```

---

Zn3Sn2Pt2: theoretical X-ray diffraction stick pattern (copper Kα), based on a crystal structure in OQMD, relaxed with PBE.
Lines closer than 0.1° are merged.

Main lines, by angle (15° ≤ 2θ ≤ 90°):
2θ (°), I_rel, (hkl)
22.7, 24, 0 0 4
24.1, 43, 1 0 1
26.1, 28, 1 0 2
37.2, 27, 1 0 5
41.2, 100, 1 1 0
41.9, 89, 1 0 6
47.5, 21, 1 1 4
60.2, 31, 2 0 6
75.6, 31, 2 1 6
86.7, 20, 1 1 12

Atomic structure:
```
data_Zn3Sn2Pt2
_cell_length_a 4.3849
_cell_length_b 4.3849
_cell_length_c 15.6926
_cell_angle_alpha 90.00
_cell_angle_beta 90.00
_cell_angle_gamma 120.00
_symmetry_space_group_name_H-M 'P 63/m m c'
_symmetry_Int_Tables_number 194
_symmetry_space_group_name_Hall '-P 6c 2c'
loop_
_atom_site_label
_atom_site_type_symbol
_atom_site_fract_x
_atom_site_fract_y
_atom_site_fract_z
Zn1 Zn 0.0000 0.0000 0.1683
Zn2 Zn 0.3333 0.6667 0.2500
Sn1 Sn 0.3333 0.6667 0.5721
Pt1 Pt 0.0000 0.0000 0.0000
Pt2 Pt 0.3333 0.6667 0.7500
```

---

K2ZrSeS2: theoretical X-ray diffraction stick pattern (copper Kα), based on a crystal structure in OQMD, relaxed with PBE.
Lines closer than 0.1° are merged.

Main lines, by angle (15° ≤ 2θ ≤ 90°):
2θ (°), I_rel, (hkl)
17.7, 52, 1 1 -1
18.3, 32, 1 1 1
25.9, 60, 0 0 2
26.9, 100, 3 1 -1
28.2, 92, 3 1 1
30.7, 36, 2 0 2
31.7, 43, 1 3 0
34.6, 42, 1 3 1
40.9, 36, 4 0 2
44.7, 36, 6 0 0

Atomic structure:
```
data_K2ZrSeS2
_cell_length_a 12.177
_cell_length_b 8.695
_cell_length_c 6.890
_cell_angle_alpha 90.00
_cell_angle_beta 93.55
_cell_angle_gamma 90.00
_symmetry_space_group_name_H-M 'C 1 2/c 1'
_symmetry_Int_Tables_number 15
loop_
_symmetry_equiv_pos_as_xyz
'x,y,z'
'-x,-y,-z'
'-x,y,-z+1/2'
'x,-y,z+1/2'
'x+1/2,y+1/2,z'
'-x+1/2,-y+1/2,-z'
'-x+1/2,y+1/2,-z+1/2'
'x+1/2,-y+1/2,z+1/2'
loop_
_atom_site_label
_atom_site_type_symbol
_atom_site_fract_x
_atom_site_fract_y
_atom_site_fract_z
K1 K 0.166 0.171 0.223
Zr1 Zr 0.000 0.416 0.750
Se1 Se 0.000 0.131 0.750
S1 S 0.142 0.489 0.505
```

---

La2Gd2B3: theoretical X-ray diffraction stick pattern (copper Kα), based on a crystal structure in OQMD, relaxed with PBE.
Lines closer than 0.1° are merged.

Main lines, by angle (15° ≤ 2θ ≤ 90°):
2θ (°), I_rel, (hkl)
18.7, 100, 0 4 0
31.2, 64, 1 1 1
31.5, 34, 0 0 2
34.0, 51, 1 3 1
36.9, 37, 0 4 2
37.9, 19, 0 8 0
39.1, 29, 1 5 1
45.8, 27, 1 7 1
50.1, 17, 0 8 2
67.5, 13, 2 4 2

Atomic structure:
```
data_La2Gd2B3
_cell_length_a 3.372
_cell_length_b 18.991
_cell_length_c 5.683
_cell_angle_alpha 90.00
_cell_angle_beta 90.00
_cell_angle_gamma 90.00
_symmetry_space_group_name_H-M 'C m m m'
_symmetry_Int_Tables_number 65
_symmetry_space_group_name_Hall '-C 2 2'
loop_
_atom_site_label
_atom_site_type_symbol
_atom_site_fract_x
_atom_site_fract_y
_atom_site_fract_z
La1 La 0.000 0.122 0.000
Gd1 Gd 0.000 0.369 0.500
B1 B 0.000 0.236 0.500
B2 B 0.000 0.500 0.500
```